[1]
For VS4N3, a cell relaxed with GGA-PBE gives the simulated powder diffractogram in this record (copper Kα).

Structure:
Lattice parameters (Å, degrees): 9.6442 11.0882 9.6546 90.00 90.00 90.00
Sites, in units of the cell vectors:
V (0.2192, 0.2500, 0.0173)
V (0.2808, 0.7500, 0.5173)
V (0.7192, 0.2500, 0.4827)
V (0.7808, 0.7500, 0.9827)
S (0.0165, 0.2500, 0.9336)
S (0.1726, 0.5937, 0.4535)
S (0.1726, 0.9063, 0.4535)
S (0.2045, 0.2500, 0.2377)
S (0.2955, 0.7500, 0.7377)
S (0.3274, 0.0937, 0.9535)
S (0.3274, 0.4063, 0.9535)
S (0.4835, 0.7500, 0.4336)
S (0.5165, 0.2500, 0.5664)
S (0.6726, 0.5937, 0.0465)
S (0.6726, 0.9063, 0.0465)
S (0.7045, 0.2500, 0.2623)
S (0.7955, 0.7500, 0.7623)
S (0.8274, 0.0937, 0.5465)
S (0.8274, 0.4063, 0.5465)
S (0.9835, 0.7500, 0.0664)
N (0.0584, 0.5391, 0.7996)
N (0.0584, 0.9609, 0.7996)
N (0.1453, 0.2500, 0.5846)
N (0.3547, 0.7500, 0.0846)
N (0.4416, 0.0391, 0.2996)
N (0.4416, 0.4609, 0.2996)
N (0.5584, 0.5391, 0.7004)
N (0.5584, 0.9609, 0.7004)
N (0.6453, 0.2500, 0.9154)
N (0.8547, 0.7500, 0.4154)
N (0.9416, 0.0391, 0.2004)
N (0.9416, 0.4609, 0.2004)

The 10 most intense peaks (2θ = 5–70°), by angle:
2θ (°), Rel. int.
15.25, 100.0
15.99, 25.5
18.39, 27.5
20.64, 13.3
24.46, 12.0
26.15, 14.2
28.89, 15.6
30.38, 18.1
30.47, 22.9
31.88, 16.4



[2]
For MgCdPd2, a cell relaxed with GGA-PBE gives the simulated powder diffractogram in this record (copper Kα).

Structure:
Lattice parameters (Å, degrees): 4.5820 4.5820 4.5820 60.00 60.00 60.00
Sites, in units of the cell vectors:
Mg (0.0000, 0.0000, 0.0000)
Cd (0.5000, 0.5000, 0.5000)
Pd (0.2500, 0.2500, 0.2500)
Pd (0.7500, 0.7500, 0.7500)

The 8 most intense peaks (2θ = 5–70°), by angle:
2θ (°), Rel. int.
23.78, 15.5
27.53, 6.0
39.33, 100.0
46.48, 7.6
48.68, 1.7
56.83, 16.5
62.47, 3.0
64.29, 2.2



[3]
For MgAlAg2, a cell relaxed with GGA-PBE gives the simulated powder diffractogram in this record (copper Kα).

Structure:
Lattice parameters (Å, degrees): 4.6181 4.6181 4.6181 60.00 60.00 60.00
Sites, in units of the cell vectors:
Mg (0.0000, 0.0000, 0.0000)
Al (0.5000, 0.5000, 0.5000)
Ag (0.2500, 0.2500, 0.2500)
Ag (0.7500, 0.7500, 0.7500)

The 5 most intense peaks (2θ = 5–70°), by angle:
2θ (°), Rel. int.
27.31, 50.2
39.01, 100.0
48.27, 13.5
56.35, 16.2
63.73, 16.7



[4]
For Cs2KInI6, a cell relaxed with GGA-PBE gives the simulated powder diffractogram in this record (copper Kα).

Structure:
Lattice parameters (Å, degrees): 8.9641 8.9641 8.9641 60.00 60.00 60.00
Sites, in units of the cell vectors:
Cs (0.2500, 0.2500, 0.2500)
Cs (0.7500, 0.7500, 0.7500)
K (0.0000, 0.0000, 0.0000)
In (0.5000, 0.5000, 0.5000)
I (0.2677, 0.2677, 0.7323)
I (0.2677, 0.7323, 0.2677)
I (0.2677, 0.7323, 0.7323)
I (0.7323, 0.2677, 0.2677)
I (0.7323, 0.2677, 0.7323)
I (0.7323, 0.7323, 0.2677)

The 10 most intense peaks (2θ = 5–70°), by angle:
2θ (°), Rel. int.
12.09, 17.6
19.81, 11.4
24.32, 100.0
28.16, 97.5
36.84, 11.5
40.24, 70.2
47.58, 42.9
49.84, 23.8
64.03, 15.6
65.90, 28.2



[5]
For Lu4Ge6Os7, a cell relaxed with GGA-PBE gives the simulated powder diffractogram in this record (copper Kα).

Structure:
Lattice parameters (Å, degrees): 7.2001 7.2001 7.2001 109.47 109.47 109.47
Sites, in units of the cell vectors:
Lu (0.0000, 0.0000, 0.5000)
Lu (0.0000, 0.5000, 0.0000)
Lu (0.5000, 0.0000, 0.0000)
Lu (0.5000, 0.5000, 0.5000)
Ge (0.0000, 0.3098, 0.3098)
Ge (0.0000, 0.6902, 0.6902)
Ge (0.3098, 0.0000, 0.3098)
Ge (0.3098, 0.3098, 0.0000)
Ge (0.6902, 0.0000, 0.6902)
Ge (0.6902, 0.6902, 0.0000)
Os (0.0000, 0.0000, 0.0000)
Os (0.2500, 0.5000, 0.7500)
Os (0.2500, 0.7500, 0.5000)
Os (0.5000, 0.2500, 0.7500)
Os (0.5000, 0.7500, 0.2500)
Os (0.7500, 0.2500, 0.5000)
Os (0.7500, 0.5000, 0.2500)

The 10 most intense peaks (2θ = 5–70°), by angle:
2θ (°), Rel. int.
15.07, 7.6
26.26, 22.2
30.41, 13.0
37.47, 100.0
40.60, 35.4
43.54, 68.9
46.33, 4.7
51.56, 16.5
63.27, 40.5
69.72, 9.0



[6]
For Rb3IrCl6O, a cell relaxed with GGA-PBE gives the simulated powder diffractogram in this record (copper Kα).

Structure:
Lattice parameters (Å, degrees): 12.4553 7.0783 14.5040 90.00 90.00 90.00
Sites, in units of the cell vectors:
Rb (0.0578, 0.2500, 0.1419)
Rb (0.1112, 0.7500, 0.5372)
Rb (0.1718, 0.2500, 0.7738)
Rb (0.3282, 0.7500, 0.2738)
Rb (0.3888, 0.2500, 0.0372)
Rb (0.4422, 0.7500, 0.6419)
Rb (0.5578, 0.2500, 0.3581)
Rb (0.6112, 0.7500, 0.9628)
Rb (0.6718, 0.2500, 0.7262)
Rb (0.8282, 0.7500, 0.2262)
Rb (0.8888, 0.2500, 0.4628)
Rb (0.9422, 0.7500, 0.8581)
Ir (0.2240, 0.2500, 0.4039)
Ir (0.2760, 0.7500, 0.9039)
Ir (0.7240, 0.2500, 0.0961)
Ir (0.7760, 0.7500, 0.5961)
Cl (0.1053, 0.0165, 0.3475)
Cl (0.1053, 0.4835, 0.3475)
Cl (0.1339, 0.2500, 0.5473)
Cl (0.1576, 0.5168, 0.9616)
Cl (0.1576, 0.9832, 0.9616)
Cl (0.1856, 0.7500, 0.7590)
Cl (0.3144, 0.2500, 0.2590)
Cl (0.3424, 0.0168, 0.4616)
Cl (0.3424, 0.4832, 0.4616)
Cl (0.3661, 0.7500, 0.0473)
Cl (0.3947, 0.5165, 0.8475)
Cl (0.3947, 0.9835, 0.8475)
Cl (0.6053, 0.0165, 0.1525)
Cl (0.6053, 0.4835, 0.1525)
Cl (0.6339, 0.2500, 0.9527)
Cl (0.6576, 0.5168, 0.5384)
Cl (0.6576, 0.9832, 0.5384)
Cl (0.6856, 0.7500, 0.7410)
Cl (0.8144, 0.2500, 0.2410)
Cl (0.8424, 0.0168, 0.0384)
Cl (0.8424, 0.4832, 0.0384)
Cl (0.8661, 0.7500, 0.4527)
Cl (0.8947, 0.5165, 0.6525)
Cl (0.8947, 0.9835, 0.6525)
O (0.0655, 0.7500, 0.1646)
O (0.4345, 0.2500, 0.6646)
O (0.5655, 0.7500, 0.3354)
O (0.9345, 0.2500, 0.8354)

The 10 most intense peaks (2θ = 5–70°), by angle:
2θ (°), Rel. int.
13.92, 31.5
14.16, 100.0
15.64, 35.6
22.27, 63.9
24.71, 25.5
25.16, 37.8
25.62, 46.9
32.16, 32.3
34.13, 56.1
35.56, 50.8



[7]
For CsCuAg2C4N4, a cell relaxed with GGA-PBE gives the simulated powder diffractogram in this record (copper Kα).

Structure:
Lattice parameters (Å, degrees): 7.5532 8.0967 8.3418 90.00 104.08 90.00
Sites, in units of the cell vectors:
Cs (0.0000, 0.2448, 0.2500)
Cs (0.0000, 0.7552, 0.7500)
Cu (0.0000, 0.2577, 0.7500)
Cu (0.0000, 0.7423, 0.2500)
Ag (0.5000, 0.0000, 0.0000)
Ag (0.5000, 0.0000, 0.5000)
Ag (0.5000, 0.4412, 0.2500)
Ag (0.5000, 0.5588, 0.7500)
C (0.2887, 0.0795, 0.5964)
C (0.2887, 0.9205, 0.0964)
C (0.2900, 0.4178, 0.0408)
C (0.2900, 0.5822, 0.5408)
C (0.7100, 0.4178, 0.4592)
C (0.7100, 0.5822, 0.9592)
C (0.7113, 0.0795, 0.9036)
C (0.7113, 0.9205, 0.4036)
N (0.1693, 0.1310, 0.6504)
N (0.1693, 0.8690, 0.1504)
N (0.1703, 0.3848, 0.9264)
N (0.1703, 0.6152, 0.4264)
N (0.8297, 0.3848, 0.5736)
N (0.8297, 0.6152, 0.0736)
N (0.8307, 0.1310, 0.8496)
N (0.8307, 0.8690, 0.3496)

The 10 most intense peaks (2θ = 5–70°), by angle:
2θ (°), Rel. int.
24.30, 41.5
24.60, 28.0
24.96, 21.4
25.13, 100.0
29.82, 28.4
30.72, 25.6
31.24, 26.4
36.32, 17.6
43.29, 28.0
49.18, 15.6



[8]
For Mn, a cell relaxed with GGA-PBE gives the simulated powder diffractogram in this record (copper Kα).

Structure:
Lattice parameters (Å, degrees): 3.3290 3.3290 3.3290 98.14 98.14 135.80
Sites, in units of the cell vectors:
Mn (0.3750, 0.6250, 0.7500)
Mn (0.6250, 0.3750, 0.2500)

The 4 most intense peaks (2θ = 5–70°), by angle:
2θ (°), Rel. int.
41.40, 100.0
41.58, 98.7
59.98, 30.2
60.12, 59.9